Structure and calculated powder XRD pattern of La7Au3 (a cell relaxed with PBE; λ = 1.5418 Å (Cu Kα)).
Peak positions follow from Bragg's law for the DFT cell and can differ from measured ones.

Largest 6 diffraction maxima, most intense first, 2θ = 10–80°:
h k l  2θ (°)  I/Imax
3 0 1  32.2  100
2 1 1  29.0  95
2 0 2  33.4  85
2 2 0  33.8  84
3 3 0  51.6  43
1 0 2  28.7  42

Atomic structure:
a = 10.6164 Å, b = 10.6164 Å, c = 6.6170 Å
α = 90.00°, β = 90.00°, γ = 120.00°
Space group P6_3mc (No. 186)
Symmetry-distinct sites (fractional):
La  0.0745  0.5373  0.0000 (multiplicity 6)
La  0.1280  0.2560  0.2918 (multiplicity 6)
La  0.3333  0.6667  0.4770 (multiplicity 2)
Au  0.1898  0.3796  0.7303 (multiplicity 6)